No. 1
This entry pairs a crystal structure of RbIn2Hg8 with its simulated PXRD pattern. Radiation: copper Kα. Structure: a structure optimized by DFT (PBE).
Neutral-atom scattering factors, no anomalous dispersion.

Structural model:
```
RbIn2Hg8
1.0
4.826 0.000 0.000
0.000 4.826 0.000
0.000 0.000 14.712
Rb In Hg
1 2 8
direct
0.000 0.000 0.000 Rb
0.000 0.000 0.354 In
0.000 0.000 0.646 In
0.000 0.500 0.189 Hg
0.000 0.500 0.500 Hg
0.000 0.500 0.811 Hg
0.500 0.000 0.189 Hg
0.500 0.000 0.500 Hg
0.500 0.000 0.811 Hg
0.500 0.500 0.348 Hg
0.500 0.500 0.652 Hg
```

Main lines, most intense first (2θ from 10° to 80°):
| d/Å | 2θ/deg | intensity |
| --- | --- | --- |
| 2.801 | 31.95 | 100 |
| 2.413 | 37.26 | 37 |
| 1.457 | 63.88 | 28 |
| 1.720 | 53.26 | 17 |
| 2.502 | 35.90 | 16 |
| 1.706 | 53.72 | 13 |
| 2.452 | 36.65 | 12 |
| 1.585 | 58.21 | 9 |
| 1.401 | 66.79 | 9 |
| 1.351 | 69.59 | 8 |
| 1.474 | 63.05 | 6 |
| 7.356 | 12.03 | 6 |

***

No. 2
This entry pairs a crystal structure of La2AlCd3 with its simulated PXRD pattern. Radiation: copper Kα. Structure: a structure optimized by DFT (PBE).
Neutral-atom scattering factors, no anomalous dispersion.

Structural model:
```
La2AlCd3
1.0
0.000 4.985 8.649
3.707 0.000 8.649
3.707 4.985 0.000
La Al Cd
4 2 6
direct
0.240 0.760 0.760 La
0.250 0.250 0.250 La
0.750 0.750 0.750 La
0.760 0.240 0.240 La
0.334 0.334 0.666 Al
0.666 0.666 0.334 Al
0.170 0.170 0.830 Cd
0.173 0.658 0.342 Cd
0.342 0.827 0.173 Cd
0.658 0.173 0.827 Cd
0.827 0.342 0.658 Cd
0.830 0.830 0.170 Cd
```

Main lines, most intense first (2θ from 10° to 80°):
| d/Å | 2θ/deg | intensity |
| --- | --- | --- |
| 2.814 | 31.81 | 100 |
| 2.495 | 36.00 | 70 |
| 1.867 | 48.79 | 30 |
| 1.495 | 62.10 | 28 |
| 1.488 | 62.42 | 27 |
| 1.440 | 64.72 | 12 |
| 1.853 | 49.16 | 9 |
| 4.321 | 20.55 | 5 |
| 4.141 | 21.46 | 5 |
| 1.248 | 76.31 | 5 |
| 2.989 | 29.89 | 4 |
| 5.626 | 15.75 | 3 |

***

No. 3
This entry pairs a crystal structure of GaReH4 with its simulated PXRD pattern. Radiation: copper Kα. Structure: a structure optimized by DFT (PBE).
Neutral-atom scattering factors, no anomalous dispersion.

Structural model:
```
GaReH4
1.0
4.949 -2.095 0.000
4.949 2.095 0.000
-0.014 0.000 5.908
Ga Re H
2 2 8
direct
0.000 0.000 0.000 Ga
0.000 0.000 0.500 Ga
0.468 0.469 0.750 Re
0.531 0.532 0.250 Re
0.073 0.598 0.750 H
0.402 0.927 0.250 H
0.446 0.221 0.606 H
0.447 0.221 0.893 H
0.475 0.250 0.249 H
0.750 0.525 0.751 H
0.779 0.553 0.107 H
0.779 0.554 0.394 H
```

Main lines, most intense first (2θ from 10° to 80°):
| d/Å | 2θ/deg | intensity |
| --- | --- | --- |
| 4.949 | 17.92 | 100 |
| 2.345 | 38.38 | 67 |
| 1.948 | 46.62 | 30 |
| 3.858 | 23.05 | 22 |
| 1.929 | 47.11 | 17 |
| 2.095 | 43.19 | 12 |
| 2.475 | 36.30 | 12 |
| 2.374 | 37.90 | 11 |
| 3.794 | 23.45 | 9 |
| 1.713 | 53.49 | 9 |
| 1.252 | 75.99 | 9 |
| 2.282 | 39.48 | 8 |

***

No. 4
This entry pairs a crystal structure of La3Sm8Y with its simulated PXRD pattern. Radiation: copper Kα. Structure: a structure optimized by DFT (PBE).
Neutral-atom scattering factors, no anomalous dispersion.

Structural model:
```
La3Sm8Y
1.0
-3.297 5.791 5.829
3.297 -5.791 5.829
3.297 5.791 -5.829
La Sm Y
3 8 1
direct
0.000 0.000 0.000 La
0.254 0.754 0.500 La
0.746 0.246 0.500 La
0.083 0.251 0.831 Sm
0.256 0.245 0.501 Sm
0.256 0.755 0.011 Sm
0.420 0.251 0.169 Sm
0.580 0.749 0.831 Sm
0.744 0.245 0.989 Sm
0.744 0.755 0.499 Sm
0.917 0.749 0.169 Sm
0.500 0.500 0.000 Y
```

Main lines, most intense first (2θ from 10° to 80°):
| d/Å | 2θ/deg | intensity |
| --- | --- | --- |
| 2.893 | 30.91 | 100 |
| 2.868 | 31.18 | 76 |
| 2.914 | 30.68 | 53 |
| 2.571 | 34.90 | 39 |
| 1.446 | 64.43 | 25 |
| 1.815 | 50.27 | 22 |
| 3.332 | 26.76 | 22 |
| 1.666 | 55.13 | 20 |
| 2.593 | 34.59 | 18 |
| 1.678 | 54.69 | 17 |
| 2.043 | 44.34 | 17 |
| 5.792 | 15.30 | 16 |

***

No. 5
This entry pairs a crystal structure of HoCo2SiH with its simulated PXRD pattern. Radiation: copper Kα. Structure: a structure optimized by DFT (PBE).
Neutral-atom scattering factors, no anomalous dispersion.

Structural model:
```
HoCo2SiH
1.0
1.800 -5.078 0.000
1.800 5.078 0.000
0.000 0.000 6.741
Ho Co Si H
2 4 2 2
direct
0.057 0.943 0.750 Ho
0.943 0.057 0.250 Ho
0.338 0.662 0.557 Co
0.338 0.662 0.943 Co
0.662 0.338 0.057 Co
0.662 0.338 0.443 Co
0.223 0.777 0.250 Si
0.777 0.223 0.750 Si
0.500 0.500 0.000 H
0.500 0.500 0.500 H
```

Main lines, most intense first (2θ from 10° to 80°):
| d/Å | 2θ/deg | intensity |
| --- | --- | --- |
| 2.391 | 37.61 | 100 |
| 2.316 | 38.88 | 63 |
| 2.376 | 37.86 | 52 |
| 2.466 | 36.43 | 43 |
| 2.808 | 31.87 | 33 |
| 2.055 | 44.07 | 28 |
| 1.390 | 67.36 | 26 |
| 1.800 | 50.71 | 24 |
| 3.393 | 26.26 | 23 |
| 1.435 | 65.00 | 21 |
| 3.031 | 29.47 | 19 |
| 1.661 | 55.31 | 19 |

***

No. 6
This entry pairs a crystal structure of Mg2ZnCdAg4 with its simulated PXRD pattern. Radiation: copper Kα. Structure: a structure optimized by DFT (PBE).
Neutral-atom scattering factors, no anomalous dispersion.

Structural model:
```
Mg2ZnCdAg4
1.0
4.052 -2.326 0.000
4.052 2.326 0.000
-2.763 0.000 7.646
Mg Zn Cd Ag
2 1 1 4
direct
0.250 0.250 0.249 Mg
0.750 0.750 0.751 Mg
0.000 0.000 0.500 Zn
0.500 0.500 0.000 Cd
0.120 0.120 0.860 Ag
0.372 0.372 0.616 Ag
0.628 0.628 0.384 Ag
0.880 0.880 0.140 Ag
```

Main lines, most intense first (2θ from 10° to 80°):
| d/Å | 2θ/deg | intensity |
| --- | --- | --- |
| 2.339 | 38.49 | 100 |
| 2.326 | 38.72 | 25 |
| 2.332 | 38.61 | 24 |
| 1.345 | 69.92 | 24 |
| 1.647 | 55.83 | 16 |
| 3.813 | 23.33 | 14 |
| 3.293 | 27.08 | 12 |
| 1.351 | 69.57 | 12 |
| 1.661 | 55.31 | 8 |
| 1.349 | 69.69 | 7 |
| 3.322 | 26.84 | 6 |
| 1.905 | 47.74 | 4 |

***

No. 7
This entry pairs a crystal structure of Ca5TiH2N4 with its simulated PXRD pattern. Radiation: copper Kα. Structure: a structure optimized by DFT (PBE).
Neutral-atom scattering factors, no anomalous dispersion.

Structural model:
```
Ca5TiH2N4
1.0
7.021 0.000 0.000
0.000 4.756 2.884
0.000 -4.756 2.884
Ca Ti H N
5 1 2 4
direct
0.000 0.000 0.000 Ca
0.283 0.294 0.659 Ca
0.283 0.659 0.294 Ca
0.717 0.294 0.659 Ca
0.717 0.659 0.294 Ca
0.500 0.997 0.997 Ti
0.000 0.544 0.942 H
0.000 0.942 0.544 H
0.274 0.200 0.200 N
0.500 0.630 0.957 N
0.500 0.957 0.630 N
0.726 0.200 0.200 N
```

Main lines, most intense first (2θ from 10° to 80°):
| d/Å | 2θ/deg | intensity |
| --- | --- | --- |
| 2.779 | 32.21 | 100 |
| 2.860 | 31.27 | 84 |
| 2.018 | 44.92 | 57 |
| 7.021 | 12.61 | 41 |
| 2.884 | 31.00 | 38 |
| 2.825 | 31.68 | 37 |
| 1.607 | 57.35 | 25 |
| 1.644 | 55.92 | 18 |
| 1.484 | 62.59 | 15 |
| 1.661 | 55.32 | 14 |
| 1.262 | 75.30 | 12 |
| 4.933 | 17.98 | 12 |

***

No. 8
This entry pairs a crystal structure of PrAl9Rh2 with its simulated PXRD pattern. Radiation: copper Kα. Structure: a structure optimized by DFT (PBE).
Neutral-atom scattering factors, no anomalous dispersion.

Structural model:
```
PrAl9Rh2
1.0
-5.378 5.378 3.497
5.378 -5.378 3.497
5.378 5.378 -3.497
Pr Al Rh
2 18 4
direct
0.375 0.625 0.750 Pr
0.625 0.375 0.250 Pr
0.125 0.875 0.250 Al
0.136 0.564 0.329 Al
0.136 0.807 0.573 Al
0.193 0.265 0.329 Al
0.193 0.864 0.927 Al
0.265 0.193 0.829 Al
0.265 0.436 0.073 Al
0.436 0.265 0.573 Al
0.436 0.864 0.171 Al
0.564 0.136 0.829 Al
0.564 0.735 0.427 Al
0.735 0.564 0.927 Al
0.735 0.807 0.171 Al
0.807 0.136 0.073 Al
0.807 0.735 0.671 Al
0.864 0.193 0.427 Al
0.864 0.436 0.671 Al
0.875 0.125 0.750 Al
0.000 0.000 0.000 Rh
0.000 0.000 0.500 Rh
0.000 0.500 0.000 Rh
0.500 0.000 0.500 Rh
```

Main lines, most intense first (2θ from 10° to 80°):
| d/Å | 2θ/deg | intensity |
| --- | --- | --- |
| 3.963 | 22.43 | 100 |
| 2.744 | 32.63 | 69 |
| 2.438 | 36.86 | 58 |
| 1.982 | 45.79 | 43 |
| 2.405 | 37.39 | 35 |
| 2.689 | 33.32 | 34 |
| 2.279 | 39.55 | 33 |
| 1.921 | 47.33 | 23 |
| 1.589 | 58.06 | 21 |
| 3.177 | 28.08 | 20 |
| 2.932 | 30.49 | 20 |
| 2.056 | 44.05 | 18 |

***

No. 9
This entry pairs a crystal structure of CaTlPdSeF with its simulated PXRD pattern. Radiation: copper Kα. Structure: a structure optimized by DFT (PBE).
Neutral-atom scattering factors, no anomalous dispersion.

Structural model:
```
CaTlPdSeF
1.0
-2.030 2.030 7.389
2.030 -2.030 7.389
2.030 2.030 -7.389
Ca Tl Pd Se F
1 1 1 1 1
direct
0.000 0.000 0.000 Ca
0.750 0.750 0.000 Tl
0.296 0.296 0.000 Pd
0.461 0.461 0.000 Se
0.144 0.144 0.000 F
```

Main lines, most intense first (2θ from 10° to 80°):
| d/Å | 2θ/deg | intensity |
| --- | --- | --- |
| 2.871 | 31.15 | 100 |
| 7.389 | 11.98 | 87 |
| 2.267 | 39.76 | 50 |
| 3.133 | 28.49 | 48 |
| 3.695 | 24.09 | 46 |
| 1.873 | 48.61 | 38 |
| 2.030 | 44.64 | 37 |
| 2.676 | 33.49 | 32 |
| 1.377 | 68.11 | 27 |
| 1.779 | 51.36 | 24 |
| 1.704 | 53.81 | 17 |
| 1.284 | 73.81 | 16 |

***

No. 10
This entry pairs a crystal structure of Zr2PtS6 with its simulated PXRD pattern. Radiation: copper Kα. Structure: a structure optimized by DFT (PBE).
Neutral-atom scattering factors, no anomalous dispersion.

Structural model:
```
Zr2PtS6
1.0
3.480 0.000 0.000
-1.726 6.930 0.000
-1.739 -1.149 8.847
Zr Pt S
2 1 6
direct
0.116 0.427 0.304 Zr
0.884 0.573 0.696 Zr
0.500 0.500 0.000 Pt
0.287 0.309 0.763 S
0.373 0.719 0.530 S
0.427 0.225 0.126 S
0.573 0.775 0.874 S
0.627 0.281 0.470 S
0.713 0.691 0.237 S
```

Main lines, most intense first (2θ from 10° to 80°):
| d/Å | 2θ/deg | intensity |
| --- | --- | --- |
| 6.872 | 12.88 | 100 |
| 2.588 | 34.66 | 34 |
| 2.969 | 30.10 | 24 |
| 2.889 | 30.95 | 15 |
| 5.117 | 17.33 | 12 |
| 2.095 | 43.18 | 11 |
| 2.106 | 42.94 | 11 |
| 2.151 | 42.00 | 9 |
| 2.395 | 37.55 | 9 |
| 1.722 | 53.18 | 9 |
| 2.404 | 37.41 | 8 |
| 3.295 | 27.07 | 7 |

***

No. 11
This entry pairs a crystal structure of RbB2P2HO9 with its simulated PXRD pattern. Radiation: copper Kα. Structure: a structure optimized by DFT (PBE).
Neutral-atom scattering factors, no anomalous dispersion.

Structural model:
```
RbB2P2HO9
1.0
6.873 0.000 0.000
0.000 12.422 0.000
-1.144 0.000 8.894
Rb B P H O
4 8 8 4 36
direct
0.232 0.117 0.187 Rb
0.232 0.383 0.687 Rb
0.768 0.617 0.313 Rb
0.768 0.883 0.813 Rb
0.121 0.634 0.965 B
0.121 0.866 0.465 B
0.438 0.639 0.858 B
0.438 0.861 0.358 B
0.562 0.139 0.642 B
0.562 0.361 0.142 B
0.879 0.134 0.535 B
0.879 0.366 0.035 B
0.204 0.037 0.678 P
0.204 0.463 0.178 P
0.374 0.709 0.556 P
0.374 0.791 0.056 P
0.626 0.209 0.944 P
0.626 0.291 0.444 P
0.796 0.537 0.822 P
0.796 0.963 0.322 P
0.273 0.528 0.411 H
0.273 0.972 0.911 H
0.727 0.028 0.089 H
0.727 0.472 0.589 H
0.089 0.135 0.608 O
0.089 0.365 0.108 O
0.122 0.570 0.110 O
0.122 0.930 0.610 O
0.159 0.748 0.014 O
0.159 0.752 0.514 O
0.180 0.032 0.848 O
0.180 0.468 0.348 O
0.250 0.594 0.868 O
0.250 0.906 0.368 O
0.393 0.597 0.497 O
0.393 0.903 0.997 O
0.422 0.048 0.655 O
0.422 0.452 0.155 O
0.442 0.716 0.728 O
0.442 0.784 0.228 O
0.487 0.206 0.508 O
0.487 0.294 0.008 O
0.513 0.706 0.992 O
0.513 0.794 0.492 O
0.558 0.216 0.772 O
0.558 0.284 0.272 O
0.578 0.548 0.845 O
0.578 0.952 0.345 O
0.607 0.097 0.003 O
0.607 0.403 0.503 O
0.750 0.094 0.632 O
0.750 0.406 0.132 O
0.820 0.532 0.652 O
0.820 0.968 0.152 O
0.841 0.248 0.486 O
0.841 0.252 0.986 O
0.878 0.070 0.390 O
0.878 0.430 0.890 O
0.911 0.635 0.892 O
0.911 0.865 0.392 O
```

Main lines, most intense first (2θ from 10° to 80°):
| d/Å | 2θ/deg | intensity |
| --- | --- | --- |
| 3.216 | 27.74 | 100 |
| 3.776 | 23.56 | 93 |
| 3.539 | 25.16 | 83 |
| 2.933 | 30.48 | 72 |
| 3.030 | 29.47 | 64 |
| 3.525 | 25.27 | 52 |
| 2.235 | 40.36 | 45 |
| 3.366 | 26.48 | 44 |
| 3.616 | 24.62 | 39 |
| 4.591 | 19.33 | 35 |
| 2.594 | 34.58 | 34 |
| 4.187 | 21.22 | 31 |

***

No. 12
This entry pairs a crystal structure of La3PrY with its simulated PXRD pattern. Radiation: copper Kα. Structure: a structure optimized by DFT (PBE).
Neutral-atom scattering factors, no anomalous dispersion.

Structural model:
```
La3PrY
1.0
5.735 -3.735 0.000
5.735 3.735 0.000
-5.479 0.000 8.475
La Pr Y
6 2 2
direct
0.100 0.679 0.699 La
0.218 0.218 0.055 La
0.321 0.900 0.301 La
0.679 0.100 0.699 La
0.782 0.782 0.945 La
0.900 0.321 0.301 La
0.500 0.500 0.000 Pr
0.500 0.500 0.500 Pr
0.151 0.151 0.664 Y
0.849 0.849 0.336 Y
```

Main lines, most intense first (2θ from 10° to 80°):
| d/Å | 2θ/deg | intensity |
| --- | --- | --- |
| 3.129 | 28.52 | 100 |
| 2.802 | 31.94 | 86 |
| 2.920 | 30.62 | 72 |
| 2.950 | 30.30 | 72 |
| 3.001 | 29.77 | 63 |
| 3.458 | 25.77 | 48 |
| 2.881 | 31.05 | 48 |
| 2.825 | 31.67 | 41 |
| 3.319 | 26.87 | 40 |
| 2.691 | 33.30 | 33 |
| 2.024 | 44.78 | 33 |
| 2.504 | 35.86 | 31 |

***

Repeat the fourth record exactly.
This entry pairs a crystal structure of La3Sm8Y with its simulated PXRD pattern. Radiation: copper Kα. Structure: a structure optimized by DFT (PBE).
Neutral-atom scattering factors, no anomalous dispersion.

Structural model:
```
La3Sm8Y
1.0
-3.297 5.791 5.829
3.297 -5.791 5.829
3.297 5.791 -5.829
La Sm Y
3 8 1
direct
0.000 0.000 0.000 La
0.254 0.754 0.500 La
0.746 0.246 0.500 La
0.083 0.251 0.831 Sm
0.256 0.245 0.501 Sm
0.256 0.755 0.011 Sm
0.420 0.251 0.169 Sm
0.580 0.749 0.831 Sm
0.744 0.245 0.989 Sm
0.744 0.755 0.499 Sm
0.917 0.749 0.169 Sm
0.500 0.500 0.000 Y
```

Main lines, most intense first (2θ from 10° to 80°):
| d/Å | 2θ/deg | intensity |
| --- | --- | --- |
| 2.893 | 30.91 | 100 |
| 2.868 | 31.18 | 76 |
| 2.914 | 30.68 | 53 |
| 2.571 | 34.90 | 39 |
| 1.446 | 64.43 | 25 |
| 1.815 | 50.27 | 22 |
| 3.332 | 26.76 | 22 |
| 1.666 | 55.13 | 20 |
| 2.593 | 34.59 | 18 |
| 1.678 | 54.69 | 17 |
| 2.043 | 44.34 | 17 |
| 5.792 | 15.30 | 16 |